1.
This entry pairs a crystal structure of Pd6WAu2 with its theoretical X-ray powder pattern. Radiation: Cu Kα (λ = 1.5418 Å). Structure: a structure optimized by DFT (GGA-PBE).
No peak broadening, texture or thermal motion is included.

```
9
Lattice="6.8405 -1.3849 0.0000 6.8405 1.3849 0.0000 -5.2049 0.0000 7.8867" Properties=species:S:1:pos:R:3 pbc="T T T"
Pd -0.6281 0.0000 2.3083
Pd -0.1083 0.0000 4.9616
Pd 3.8529 0.0000 1.6369
Pd 4.6232 0.0000 6.2498
Pd 8.5845 0.0000 2.9252
Pd 9.1042 0.0000 5.5784
W -2.6025 0.0000 3.9434
Au 1.4065 0.0000 0.3577
Au 7.0697 0.0000 7.5290
```

Main lines, sorted by position (10° ≤ 2θ ≤ 80°):
33.28°, rel. 64; 37.95°, rel. 92; 39.03°, rel. 83; 39.28°, rel. 100; 40.40°, rel. 83; 45.55°, rel. 66; 47.87°, rel. 41; 48.45°, rel. 37



2.
This entry pairs a crystal structure of Tb8CeNd4 with its theoretical X-ray powder pattern. Radiation: Cu Kα (λ = 1.5418 Å). Structure: a structure optimized by DFT (GGA-PBE).
No peak broadening, texture or thermal motion is included.

```
13
Lattice="5.5418 3.1996 4.5077 -5.5418 3.1996 4.5077 0.0000 -6.3991 4.5077" Properties=species:S:1:pos:R:3 pbc="T T T"
Tb 0.0000 0.0000 3.2613
Tb 0.0000 -3.3091 5.5856
Tb -2.8658 1.6546 5.5856
Tb -2.8658 -1.6546 7.9375
Tb 2.8658 1.6546 5.5856
Tb 2.8658 -1.6546 7.9375
Tb 0.0000 3.3091 7.9375
Tb 0.0000 0.0000 10.2617
Ce 0.0000 0.0000 6.7615
Nd 0.0000 0.0000 0.0000
Nd -2.7709 -1.5998 4.5077
Nd -2.7709 1.5998 9.0154
Nd 0.0000 3.1996 4.5077
```

Main lines, sorted by position (10° ≤ 2θ ≤ 80°):
19.65°, rel. 12; 22.72°, rel. 9; 32.35°, rel. 100; 46.40°, rel. 18; 57.65°, rel. 28; 57.83°, rel. 9; 76.99°, rel. 8; 77.13°, rel. 8



3.
This entry pairs a crystal structure of Tb6Er2Al with its theoretical X-ray powder pattern. Radiation: Cu Kα (λ = 1.5418 Å). Structure: a structure optimized by DFT (GGA-PBE).
No peak broadening, texture or thermal motion is included.

```
18
Lattice="10.0557 0.0000 0.0000 0.0000 10.1201 0.0000 0.0000 0.0000 5.3242" Properties=species:S:1:pos:R:3 pbc="T T T"
Tb 0.3670 1.8781 0.0000
Tb 1.2600 6.2801 2.6621
Tb 1.8629 9.6653 2.6621
Tb 3.1649 4.6053 0.0000
Tb 3.7678 1.2201 0.0000
Tb 4.6608 6.9382 2.6621
Tb 5.3949 3.1819 2.6621
Tb 6.2879 8.9000 0.0000
Tb 6.8908 5.5148 0.0000
Tb 8.1927 0.4548 2.6621
Tb 8.7956 3.8400 2.6621
Tb 9.6886 8.2419 0.0000
Er 2.1226 2.8454 2.6621
Er 2.9052 7.9055 0.0000
Er 7.1505 2.2146 0.0000
Er 7.9330 7.2746 2.6621
Al 0.0000 5.0600 0.0000
Al 5.0278 0.0000 2.6621
```

Main lines, sorted by position (10° ≤ 2θ ≤ 80°):
25.89°, rel. 34; 31.39°, rel. 83; 31.54°, rel. 100; 31.98°, rel. 58; 32.66°, rel. 71; 32.79°, rel. 53; 33.67°, rel. 70; 47.12°, rel. 40



4.
This entry pairs a crystal structure of Cs2RbPbI5 with its theoretical X-ray powder pattern. Radiation: Cu Kα (λ = 1.5418 Å). Structure: a structure optimized by DFT (GGA-PBE).
No peak broadening, texture or thermal motion is included.

```
9
Lattice="-3.1079 4.4348 9.3217 3.1079 -4.4348 9.3217 3.1079 4.4348 -9.3217" Properties=species:S:1:pos:R:3 pbc="T T T"
Cs 0.0000 0.0000 3.7932
Cs 0.0000 0.0000 14.8501
Rb 0.0000 4.4348 0.0000
Pb 3.1079 0.0000 0.0000
I 0.0000 0.0000 0.0000
I 3.1079 2.2658 -2.3370
I 3.1079 2.2658 2.3370
I 0.0000 2.1690 6.9847
I 0.0000 2.1690 11.6587
```

Main lines, sorted by position (10° ≤ 2θ ≤ 80°):
11.05°, rel. 73; 19.87°, rel. 63; 25.13°, rel. 48; 27.77°, rel. 100; 27.90°, rel. 37; 28.60°, rel. 54; 28.73°, rel. 71; 40.38°, rel. 73



5.
This entry pairs a crystal structure of ZrNb4S8 with its theoretical X-ray powder pattern. Radiation: Cu Kα (λ = 1.5418 Å). Structure: a structure optimized by DFT (GGA-PBE).
No peak broadening, texture or thermal motion is included.

```
13
Lattice="3.4343 1.9828 6.1309 -3.4343 1.9828 6.1309 0.0000 -3.9656 6.1309" Properties=species:S:1:pos:R:3 pbc="T T T"
Zr 0.0000 0.0000 0.0000
Nb -3.4343 0.0000 9.1963
Nb -1.7171 0.9914 3.0654
Nb 1.7171 0.9914 3.0654
Nb 0.0000 0.0000 9.1963
S 0.0000 0.0000 4.5801
S 0.0000 -1.9163 7.6298
S -1.6595 0.9581 7.6298
S -1.6595 -0.9581 10.7628
S 1.6595 0.9581 7.6298
S 1.6595 -0.9581 10.7628
S 0.0000 1.9163 10.7628
S 0.0000 0.0000 13.8125
```

Main lines, sorted by position (10° ≤ 2θ ≤ 80°):
14.45°, rel. 48; 30.45°, rel. 25; 31.62°, rel. 11; 35.96°, rel. 100; 38.94°, rel. 13; 50.15°, rel. 37; 53.35°, rel. 30; 66.03°, rel. 15



6.
This entry pairs a crystal structure of La6C2NO2 with its theoretical X-ray powder pattern. Radiation: Cu Kα (λ = 1.5418 Å). Structure: a structure optimized by DFT (GGA-PBE).
No peak broadening, texture or thermal motion is included.

```
11
Lattice="3.2939 -5.6473 0.0000 3.2939 5.6473 0.0000 -2.2650 0.0000 6.1112" Properties=species:S:1:pos:R:3 pbc="T T T"
La -0.0895 1.9549 4.5567
La 0.9273 0.0000 1.6349
La -0.0895 -1.9549 4.5567
La 4.4124 1.9549 1.5545
La 3.3956 0.0000 4.4764
La 4.4124 -1.9549 1.5545
C 2.1614 1.9489 3.0556
C 2.1614 -1.9489 3.0556
N -1.1325 0.0000 3.0556
O 3.2939 3.7568 0.0000
O 3.2939 -3.7568 0.0000
```

Main lines, sorted by position (10° ≤ 2θ ≤ 80°):
28.91°, rel. 51; 28.95°, rel. 100; 29.23°, rel. 49; 33.32°, rel. 47; 33.77°, rel. 96; 47.96°, rel. 33; 48.37°, rel. 49; 57.47°, rel. 30